# HfGa4Co
Theoretical powder diffraction line list, Cu Kα, 1.54184 Å. Input: the GGA-PBE geometry in Alexandria.
Peak positions follow from Bragg's law for the DFT cell and can differ from measured ones.

Largest 10 diffraction maxima, sorted by position, 2θ from 10° to 90°:
d (Å)	I/Imax	h k l
4.779	29	0 2 1
4.593	31	0 4 0
3.227	38	1 1 1
2.720	40	1 5 0
2.446	100	1 5 1
2.283	49	1 1 2
2.154	59	1 3 2
2.125	26	0 8 1
2.049	31	1 7 1
2.022	48	2 0 0

Structure:
```
data_HfGa4Co
_symmetry_space_group_name_H-M 'C m c 21'
_symmetry_Int_Tables_number 36
_symmetry_space_group_name_Hall 'C 2c -2'
_cell_length_a 4.045
_cell_length_b 18.372
_cell_length_c 5.596
_cell_angle_alpha 90.00
_cell_angle_beta 90.00
_cell_angle_gamma 90.00
loop_
_atom_site_label
_atom_site_type_symbol
_atom_site_fract_x
_atom_site_fract_y
_atom_site_fract_z
Hf1 Hf 0.000 0.138 0.000
Ga1 Ga 0.000 0.085 0.489
Ga2 Ga 0.000 0.267 0.297
Ga3 Ga 0.000 0.319 0.861
Ga4 Ga 0.000 0.477 0.602
Co1 Co 0.000 0.399 0.248
```